(1)
Theoretical powder diffractogram
Compound: LiLaSn
Radiation: λ = 1.5418 Å (Cu Kα)
Structure: DFT lattice parameters and positions (PBE)

Crystal structure
```
data_LiLaSn
_cell_length_a 4.522
_cell_length_b 4.941
_cell_length_c 7.085
_cell_angle_alpha 90.00
_cell_angle_beta 108.56
_cell_angle_gamma 90.00
_symmetry_space_group_name_H-M 'P 1'
_symmetry_Int_Tables_number 1
loop_
_symmetry_equiv_pos_as_xyz
'x,y,z'
loop_
_atom_site_label
_atom_site_type_symbol
_atom_site_fract_x
_atom_site_fract_y
_atom_site_fract_z
Li1 Li 0.247 0.250 0.494
Li2 Li 0.753 0.750 0.506
La1 La 0.092 0.750 0.182
La2 La 0.908 0.250 0.818
Sn1 Sn 0.376 0.750 0.752
Sn2 Sn 0.624 0.250 0.248
```

Principal peaks in the range 2θ = 10–90°, low angle first:
Position (°2θ)  intensity
26.54  37
27.55  76
33.50  100
36.37  27
39.87  21
45.59  17
48.54  15
55.06  16
55.22  17
63.62  16


(2)
Theoretical powder diffractogram
Compound: Li7La3Sn4
Radiation: λ = 1.5418 Å (Cu Kα)
Structure: DFT lattice parameters and positions (PBE)

Crystal structure
```
data_Li7La3Sn4
_cell_length_a 9.142
_cell_length_b 9.142
_cell_length_c 8.872
_cell_angle_alpha 118.55
_cell_angle_beta 118.55
_cell_angle_gamma 30.99
_symmetry_space_group_name_H-M 'P 1'
_symmetry_Int_Tables_number 1
loop_
_symmetry_equiv_pos_as_xyz
'x,y,z'
loop_
_atom_site_label
_atom_site_type_symbol
_atom_site_fract_x
_atom_site_fract_y
_atom_site_fract_z
Li1 Li 0.000 0.000 0.000
Li2 Li 0.144 0.144 0.960
Li3 Li 0.332 0.332 0.489
Li4 Li 0.481 0.481 0.797
Li5 Li 0.519 0.519 0.203
Li6 Li 0.668 0.668 0.511
Li7 Li 0.856 0.856 0.040
La1 La 0.000 0.000 0.500
La2 La 0.267 0.267 0.774
La3 La 0.733 0.733 0.226
Sn1 Sn 0.135 0.135 0.323
Sn2 Sn 0.364 0.364 0.214
Sn3 Sn 0.636 0.636 0.786
Sn4 Sn 0.865 0.865 0.677
```

Principal peaks in the range 2θ = 10–90°, low angle first:
Position (°2θ)  intensity
11.55  53
23.09  36
23.85  100
30.73  40
31.01  24
31.30  39
31.44  77
35.49  80
36.80  42
47.56  24


(3)
Theoretical powder diffractogram
Compound: LiLa4Sn12
Radiation: λ = 1.5418 Å (Cu Kα)
Structure: DFT lattice parameters and positions (PBE)

Crystal structure
```
data_LiLa4Sn12
_cell_length_a 8.421
_cell_length_b 8.421
_cell_length_c 8.421
_cell_angle_alpha 109.47
_cell_angle_beta 109.47
_cell_angle_gamma 109.47
_symmetry_space_group_name_H-M 'P 1'
_symmetry_Int_Tables_number 1
loop_
_symmetry_equiv_pos_as_xyz
'x,y,z'
loop_
_atom_site_label
_atom_site_type_symbol
_atom_site_fract_x
_atom_site_fract_y
_atom_site_fract_z
Li1 Li 0.000 0.000 0.000
La1 La 0.000 0.000 0.500
La2 La 0.000 0.500 0.000
La3 La 0.500 0.000 0.000
La4 La 0.500 0.500 0.500
Sn1 Sn 0.000 0.280 0.280
Sn2 Sn 0.000 0.720 0.720
Sn3 Sn 0.250 0.500 0.750
Sn4 Sn 0.250 0.750 0.500
Sn5 Sn 0.280 0.000 0.280
Sn6 Sn 0.280 0.280 0.000
Sn7 Sn 0.500 0.250 0.750
Sn8 Sn 0.500 0.750 0.250
Sn9 Sn 0.720 0.000 0.720
Sn10 Sn 0.720 0.720 0.000
Sn11 Sn 0.750 0.250 0.500
Sn12 Sn 0.750 0.500 0.250
```

Principal peaks in the range 2θ = 10–90°, low angle first:
Position (°2θ)  intensity
31.88  100
36.98  50
39.31  3
43.66  3
53.29  33
63.46  38
66.64  11
71.27  3
78.73  5
87.45  15


(4)
Theoretical powder diffractogram
Compound: SrLi2LaSn2
Radiation: λ = 1.5418 Å (Cu Kα)
Structure: DFT lattice parameters and positions (PBE)

Crystal structure
```
data_SrLi2LaSn2
_cell_length_a 4.950
_cell_length_b 4.950
_cell_length_c 7.956
_cell_angle_alpha 90.00
_cell_angle_beta 90.00
_cell_angle_gamma 120.00
_symmetry_space_group_name_H-M 'P 1'
_symmetry_Int_Tables_number 1
loop_
_symmetry_equiv_pos_as_xyz
'x,y,z'
loop_
_atom_site_label
_atom_site_type_symbol
_atom_site_fract_x
_atom_site_fract_y
_atom_site_fract_z
Sr1 Sr 0.000 0.000 0.000
Li1 Li 0.333 0.667 0.715
Li2 Li 0.667 0.333 0.285
La1 La 0.000 0.000 0.500
Sn1 Sn 0.333 0.667 0.281
Sn2 Sn 0.667 0.333 0.719
```

Principal peaks in the range 2θ = 10–90°, low angle first:
Position (°2θ)  intensity
11.12  13
23.57  62
30.66  100
36.29  59
39.98  17
43.74  12
48.23  29
59.64  21
61.82  27
85.17  12


(5)
Theoretical powder diffractogram
Compound: SrLiLa2
Radiation: λ = 1.5418 Å (Cu Kα)
Structure: DFT lattice parameters and positions (PBE)

Crystal structure
```
data_SrLiLa2
_cell_length_a 3.970
_cell_length_b 3.970
_cell_length_c 9.345
_cell_angle_alpha 90.00
_cell_angle_beta 90.00
_cell_angle_gamma 90.00
_symmetry_space_group_name_H-M 'P 1'
_symmetry_Int_Tables_number 1
loop_
_symmetry_equiv_pos_as_xyz
'x,y,z'
loop_
_atom_site_label
_atom_site_type_symbol
_atom_site_fract_x
_atom_site_fract_y
_atom_site_fract_z
Sr1 Sr 0.000 0.000 0.000
Li1 Li 0.000 0.000 0.500
La1 La 0.500 0.500 0.320
La2 La 0.500 0.500 0.680
```

Principal peaks in the range 2θ = 10–90°, low angle first:
Position (°2θ)  intensity
22.39  45
24.36  90
28.66  45
29.53  100
31.88  76
36.67  25
43.39  58
45.71  28
54.84  29
55.36  34


(6)
Theoretical powder diffractogram
Compound: LiLa2Te
Radiation: λ = 1.5418 Å (Cu Kα)
Structure: DFT lattice parameters and positions (PBE)

Crystal structure
```
data_LiLa2Te
_cell_length_a 4.447
_cell_length_b 4.447
_cell_length_c 24.175
_cell_angle_alpha 90.00
_cell_angle_beta 90.00
_cell_angle_gamma 120.00
_symmetry_space_group_name_H-M 'P 1'
_symmetry_Int_Tables_number 1
loop_
_symmetry_equiv_pos_as_xyz
'x,y,z'
loop_
_atom_site_label
_atom_site_type_symbol
_atom_site_fract_x
_atom_site_fract_y
_atom_site_fract_z
Li1 Li 0.000 0.000 0.000
Li2 Li 0.333 0.667 0.667
Li3 Li 0.667 0.333 0.333
La1 La 0.000 0.000 0.245
La2 La 0.000 0.000 0.755
La3 La 0.333 0.667 0.422
La4 La 0.333 0.667 0.912
La5 La 0.667 0.333 0.088
La6 La 0.667 0.333 0.578
Te1 Te 0.000 0.000 0.500
Te2 Te 0.333 0.667 0.167
Te3 Te 0.667 0.333 0.833
```

Principal peaks in the range 2θ = 10–90°, low angle first:
Position (°2θ)  intensity
10.98  36
24.26  18
27.46  100
37.84  41
40.57  35
49.69  19
56.68  13
62.18  18
66.02  16
72.01  12


(7)
Theoretical powder diffractogram
Compound: Li6LaTl6
Radiation: λ = 1.5418 Å (Cu Kα)
Structure: DFT lattice parameters and positions (PBE)

Crystal structure
```
data_Li6LaTl6
_cell_length_a 7.573
_cell_length_b 7.573
_cell_length_c 7.573
_cell_angle_alpha 133.83
_cell_angle_beta 99.18
_cell_angle_gamma 98.50
_symmetry_space_group_name_H-M 'P 1'
_symmetry_Int_Tables_number 1
loop_
_symmetry_equiv_pos_as_xyz
'x,y,z'
loop_
_atom_site_label
_atom_site_type_symbol
_atom_site_fract_x
_atom_site_fract_y
_atom_site_fract_z
Li1 Li 0.000 0.000 0.500
Li2 Li 0.000 0.500 0.000
Li3 Li 0.238 0.000 0.238
Li4 Li 0.500 0.000 0.000
Li5 Li 0.500 0.500 0.500
Li6 Li 0.762 0.000 0.762
La1 La 0.000 0.500 0.500
Tl1 Tl 0.185 0.185 0.000
Tl2 Tl 0.341 0.500 0.841
Tl3 Tl 0.342 0.842 0.500
Tl4 Tl 0.658 0.158 0.500
Tl5 Tl 0.659 0.500 0.159
Tl6 Tl 0.815 0.815 0.000
```

Principal peaks in the range 2θ = 10–90°, low angle first:
Position (°2θ)  intensity
18.07  59
25.20  32
25.57  20
30.09  57
31.04  100
35.32  26
36.18  78
54.04  22
57.48  21
65.62  28


(8)
Theoretical powder diffractogram
Compound: LiLa2Tl8
Radiation: λ = 1.5418 Å (Cu Kα)
Structure: DFT lattice parameters and positions (PBE)

Crystal structure
```
data_LiLa2Tl8
_cell_length_a 4.910
_cell_length_b 4.910
_cell_length_c 12.859
_cell_angle_alpha 90.00
_cell_angle_beta 90.00
_cell_angle_gamma 90.00
_symmetry_space_group_name_H-M 'P 1'
_symmetry_Int_Tables_number 1
loop_
_symmetry_equiv_pos_as_xyz
'x,y,z'
loop_
_atom_site_label
_atom_site_type_symbol
_atom_site_fract_x
_atom_site_fract_y
_atom_site_fract_z
Li1 Li 0.000 0.000 0.000
La1 La 0.000 0.000 0.310
La2 La 0.000 0.000 0.690
Tl1 Tl 0.000 0.500 0.125
Tl2 Tl 0.000 0.500 0.500
Tl3 Tl 0.000 0.500 0.875
Tl4 Tl 0.500 0.000 0.125
Tl5 Tl 0.500 0.000 0.500
Tl6 Tl 0.500 0.000 0.875
Tl7 Tl 0.500 0.500 0.311
Tl8 Tl 0.500 0.500 0.689
```

Principal peaks in the range 2θ = 10–90°, low angle first:
Position (°2θ)  intensity
26.60  12
29.24  43
33.21  100
34.89  22
36.61  54
51.46  30
52.73  19
63.78  53
64.80  15
87.30  26


(9)
Theoretical powder diffractogram
Compound: Li3La2Tl4
Radiation: λ = 1.5418 Å (Cu Kα)
Structure: DFT lattice parameters and positions (PBE)

Crystal structure
```
data_Li3La2Tl4
_cell_length_a 8.968
_cell_length_b 8.968
_cell_length_c 8.094
_cell_angle_alpha 90.00
_cell_angle_beta 90.00
_cell_angle_gamma 135.60
_symmetry_space_group_name_H-M 'P 1'
_symmetry_Int_Tables_number 1
loop_
_symmetry_equiv_pos_as_xyz
'x,y,z'
loop_
_atom_site_label
_atom_site_type_symbol
_atom_site_fract_x
_atom_site_fract_y
_atom_site_fract_z
Li1 Li 0.000 0.000 0.000
Li2 Li 0.025 0.475 0.250
Li3 Li 0.475 0.025 0.750
Li4 Li 0.500 0.500 0.500
Li5 Li 0.525 0.975 0.250
Li6 Li 0.975 0.525 0.750
La1 La 0.119 0.881 0.425
La2 La 0.381 0.619 0.925
La3 La 0.619 0.381 0.075
La4 La 0.881 0.119 0.575
Tl1 Tl 0.173 0.827 0.024
Tl2 Tl 0.206 0.294 0.250
Tl3 Tl 0.294 0.206 0.750
Tl4 Tl 0.327 0.673 0.524
Tl5 Tl 0.673 0.327 0.476
Tl6 Tl 0.706 0.794 0.250
Tl7 Tl 0.794 0.706 0.750
Tl8 Tl 0.827 0.173 0.976
```

Principal peaks in the range 2θ = 10–90°, low angle first:
Position (°2θ)  intensity
23.48  31
24.09  41
24.47  72
28.45  50
30.56  45
30.86  33
31.98  58
34.19  68
34.52  100
34.97  41


(10)
Theoretical powder diffractogram
Compound: Li2La2Tl3
Radiation: λ = 1.5418 Å (Cu Kα)
Structure: DFT lattice parameters and positions (PBE)

Crystal structure
```
data_Li2La2Tl3
_cell_length_a 10.677
_cell_length_b 10.677
_cell_length_c 7.878
_cell_angle_alpha 90.00
_cell_angle_beta 90.00
_cell_angle_gamma 154.72
_symmetry_space_group_name_H-M 'P 1'
_symmetry_Int_Tables_number 1
loop_
_symmetry_equiv_pos_as_xyz
'x,y,z'
loop_
_atom_site_label
_atom_site_type_symbol
_atom_site_fract_x
_atom_site_fract_y
_atom_site_fract_z
Li1 Li 0.192 0.808 0.562
Li2 Li 0.192 0.808 0.938
Li3 Li 0.808 0.192 0.062
Li4 Li 0.808 0.192 0.438
La1 La 0.342 0.658 0.750
La2 La 0.450 0.550 0.250
La3 La 0.550 0.450 0.750
La4 La 0.658 0.342 0.250
Tl1 Tl 0.068 0.932 0.057
Tl2 Tl 0.068 0.932 0.443
Tl3 Tl 0.278 0.722 0.250
Tl4 Tl 0.722 0.278 0.750
Tl5 Tl 0.932 0.068 0.557
Tl6 Tl 0.932 0.068 0.943
```

Principal peaks in the range 2θ = 10–90°, low angle first:
Position (°2θ)  intensity
22.54  29
22.94  24
24.16  33
28.70  31
29.98  100
30.91  93
34.43  22
38.53  37
41.54  32
42.71  31


(11)
Theoretical powder diffractogram
Compound: Li2La3Tl2
Radiation: λ = 1.5418 Å (Cu Kα)
Structure: DFT lattice parameters and positions (PBE)

Crystal structure
```
data_Li2La3Tl2
_cell_length_a 3.672
_cell_length_b 5.024
_cell_length_c 21.786
_cell_angle_alpha 90.00
_cell_angle_beta 90.00
_cell_angle_gamma 90.00
_symmetry_space_group_name_H-M 'P 1'
_symmetry_Int_Tables_number 1
loop_
_symmetry_equiv_pos_as_xyz
'x,y,z'
loop_
_atom_site_label
_atom_site_type_symbol
_atom_site_fract_x
_atom_site_fract_y
_atom_site_fract_z
Li1 Li 0.000 0.000 0.068
Li2 Li 0.000 0.000 0.932
Li3 Li 0.500 0.500 0.432
Li4 Li 0.500 0.500 0.568
La1 La 0.000 0.000 0.500
La2 La 0.000 0.500 0.299
La3 La 0.000 0.500 0.701
La4 La 0.500 0.000 0.201
La5 La 0.500 0.000 0.799
La6 La 0.500 0.500 0.000
Tl1 Tl 0.000 0.500 0.136
Tl2 Tl 0.000 0.500 0.864
Tl3 Tl 0.500 0.000 0.364
Tl4 Tl 0.500 0.000 0.636
```

Principal peaks in the range 2θ = 10–90°, low angle first:
Position (°2θ)  intensity
18.12  76
30.14  65
31.27  77
31.87  71
33.88  100
34.44  61
35.74  51
48.63  44
59.72  29
61.46  47


(12)
Theoretical powder diffractogram
Compound: Li15La6Tl8
Radiation: λ = 1.5418 Å (Cu Kα)
Structure: DFT lattice parameters and positions (PBE)

Crystal structure
```
data_Li15La6Tl8
_cell_length_a 9.940
_cell_length_b 9.940
_cell_length_c 9.940
_cell_angle_alpha 60.00
_cell_angle_beta 60.00
_cell_angle_gamma 60.00
_symmetry_space_group_name_H-M 'P 1'
_symmetry_Int_Tables_number 1
loop_
_symmetry_equiv_pos_as_xyz
'x,y,z'
loop_
_atom_site_label
_atom_site_type_symbol
_atom_site_fract_x
_atom_site_fract_y
_atom_site_fract_z
Li1 Li 0.000 0.000 0.000
Li2 Li 0.000 0.000 0.500
Li3 Li 0.000 0.500 0.000
Li4 Li 0.000 0.500 0.500
Li5 Li 0.025 0.325 0.325
Li6 Li 0.325 0.025 0.325
Li7 Li 0.325 0.325 0.025
Li8 Li 0.325 0.325 0.325
Li9 Li 0.500 0.000 0.000
Li10 Li 0.500 0.000 0.500
Li11 Li 0.500 0.500 0.000
Li12 Li 0.675 0.675 0.675
Li13 Li 0.675 0.675 0.975
Li14 Li 0.675 0.975 0.675
Li15 Li 0.975 0.675 0.675
La1 La 0.290 0.290 0.710
La2 La 0.290 0.710 0.290
La3 La 0.290 0.710 0.710
La4 La 0.710 0.290 0.290
La5 La 0.710 0.290 0.710
La6 La 0.710 0.710 0.290
Tl1 Tl 0.126 0.126 0.126
Tl2 Tl 0.126 0.126 0.622
Tl3 Tl 0.126 0.622 0.126
Tl4 Tl 0.378 0.874 0.874
Tl5 Tl 0.622 0.126 0.126
Tl6 Tl 0.874 0.378 0.874
Tl7 Tl 0.874 0.874 0.378
Tl8 Tl 0.874 0.874 0.874
```

Principal peaks in the range 2θ = 10–90°, low angle first:
Position (°2θ)  intensity
10.90  27
20.96  41
21.90  24
25.34  19
27.66  64
33.11  46
36.15  100
53.35  21
58.75  16
65.00  25